1.
Diffraction record for HoZn2Pt3. The X-ray diffraction stick pattern is simulated, not measured: it uses a PBE-relaxed structure and Cu Ka.

Atomic structure:
a b c (Å): 4.3989 4.3989 12.2627
angles (deg): 90.00 90.00 120.00
Positions (direct):
Ho  0.0000  0.0000  0.2500
Ho  0.0000  0.0000  0.7500
Zn  0.3333  0.6667  0.0829
Zn  0.3333  0.6667  0.4171
Zn  0.6667  0.3333  0.5829
Zn  0.6667  0.3333  0.9171
Pt  0.0000  0.0000  0.0000
Pt  0.0000  0.0000  0.5000
Pt  0.3333  0.6667  0.6310
Pt  0.3333  0.6667  0.8690
Pt  0.6667  0.3333  0.1310
Pt  0.6667  0.3333  0.3690

The 8 most intense peaks (2θ from 15° to 90°), low angle first:
- 24.47 deg, 3.638 Å, intensity 30
- 37.66 deg, 2.388 Å, intensity 100
- 41.04 deg, 2.199 Å, intensity 91
- 43.91 deg, 2.062 Å, intensity 22
- 56.91 deg, 1.618 Å, intensity 31
- 72.53 deg, 1.303 Å, intensity 30
- 74.76 deg, 1.270 Å, intensity 16
- 75.62 deg, 1.258 Å, intensity 17


2.
Diffraction record for RbHoSnSe3. The X-ray diffraction stick pattern is simulated, not measured: it uses a PBE-relaxed structure and Cu Ka.

Atomic structure:
a b c (Å): 8.7364 8.7364 11.9138
angles (deg): 90.00 90.00 152.85
Positions (direct):
Rb  0.1903  0.8097  0.7500
Rb  0.8097  0.1903  0.2500
Ho  0.5000  0.5000  0.0000
Ho  0.5000  0.5000  0.5000
Sn  0.1117  0.8883  0.2500
Sn  0.8883  0.1117  0.7500
Se  0.1145  0.8855  0.0059
Se  0.1145  0.8855  0.4941
Se  0.4985  0.5015  0.7500
Se  0.5015  0.4985  0.2500
Se  0.8855  0.1145  0.5059
Se  0.8855  0.1145  0.9941

The 8 most intense peaks (2θ from 15° to 90°), low angle first:
- 18.19 deg, 4.877 Å, intensity 23
- 26.85 deg, 3.321 Å, intensity 100
- 30.00 deg, 2.978 Å, intensity 59
- 34.28 deg, 2.616 Å, intensity 39
- 40.69 deg, 2.217 Å, intensity 61
- 44.16 deg, 2.051 Å, intensity 24
- 46.18 deg, 1.966 Å, intensity 34
- 54.32 deg, 1.689 Å, intensity 22


Question: Number 1 is which compound?
Answer: HoZn2Pt3